Record 1
Diffraction record for Li6HAu2. The X-ray diffraction stick pattern is theoretical, not measured: it uses DFT lattice parameters and positions (GGA-PBE) and CuKα.

Structure:
Cell lengths 5.3844, 7.5889, 7.8291 Å; angles 90.00, 121.89, 90.00 degrees
Positions (direct):
Li  0.1767  0.1300  0.4778
Li  0.1767  0.3700  0.9778
Li  0.2706  0.7287  0.9392
Li  0.2706  0.7713  0.4392
Li  0.2977  0.0438  0.2005
Li  0.2977  0.4562  0.7005
Li  0.7023  0.5438  0.2995
Li  0.7023  0.9562  0.7995
Li  0.7294  0.2287  0.5608
Li  0.7294  0.2713  0.0608
Li  0.8233  0.6300  0.0222
Li  0.8233  0.8700  0.5222
H  0.5000  0.0000  0.5000
H  0.5000  0.5000  0.0000
Au  0.2392  0.0719  0.8298
Au  0.2392  0.4281  0.3298
Au  0.7608  0.5719  0.6702
Au  0.7608  0.9281  0.1702

The 10 most intense peaks (10 to 90 degrees two-theta), most intense first:
- 20.46°, I 100
- 40.75°, I 64
- 23.34°, I 52
- 17.74°, I 43
- 27.06°, I 43
- 31.32°, I 41
- 22.71°, I 27
- 23.44°, I 26
- 42.50°, I 26
- 39.42°, I 21



Record 2
Diffraction record for Sr2YCd3. The X-ray diffraction stick pattern is theoretical, not measured: it uses DFT lattice parameters and positions (GGA-PBE) and CuKα.

Structure:
Cell lengths 8.7930, 8.7930, 7.9469 Å; angles 90.00, 90.00, 143.14 degrees
Positions (direct):
Sr  0.0000  0.0000  0.0000
Sr  0.0000  0.0000  0.5000
Sr  0.3348  0.6652  0.0000
Sr  0.6652  0.3348  0.0000
Y  0.3329  0.6671  0.5000
Y  0.6671  0.3329  0.5000
Cd  0.1732  0.8268  0.2765
Cd  0.1732  0.8268  0.7235
Cd  0.5000  0.5000  0.2684
Cd  0.5000  0.5000  0.7316
Cd  0.8268  0.1732  0.2765
Cd  0.8268  0.1732  0.7235

The 10 most intense peaks (10 to 90 degrees two-theta), most intense first:
- 32.02°, I 100
- 32.20°, I 52
- 57.30°, I 36
- 46.18°, I 18
- 56.97°, I 16
- 76.57°, I 11
- 66.96°, I 9
- 45.66°, I 8
- 67.36°, I 6
- 75.79°, I 5



Record 3
Diffraction record for InBiPbO6. The X-ray diffraction stick pattern is theoretical, not measured: it uses DFT lattice parameters and positions (GGA-PBE) and CuKα.

Structure:
Cell lengths 5.0220, 5.0220, 10.2005 Å; angles 90.00, 90.00, 90.00 degrees
Positions (direct):
In  0.0000  0.0000  0.0000
In  0.5000  0.5000  0.5000
Bi  0.0000  0.0000  0.6664
Bi  0.5000  0.5000  0.1664
Pb  0.0000  0.0000  0.3328
Pb  0.5000  0.5000  0.8328
O  0.1900  0.1900  0.8307
O  0.1926  0.1926  0.5032
O  0.1960  0.1960  0.1654
O  0.3040  0.6960  0.6654
O  0.3074  0.6926  0.0032
O  0.3100  0.6900  0.3307
O  0.6900  0.3100  0.3307
O  0.6926  0.3074  0.0032
O  0.6960  0.3040  0.6654
O  0.8040  0.8040  0.1654
O  0.8074  0.8074  0.5032
O  0.8100  0.8100  0.8307

The 10 most intense peaks (10 to 90 degrees two-theta), most intense first:
- 25.08°, I 100
- 31.78°, I 91
- 48.58°, I 71
- 35.76°, I 28
- 61.77°, I 20
- 60.36°, I 18
- 58.08°, I 18
- 51.47°, I 16
- 73.47°, I 16
- 84.49°, I 14



Record 4
Diffraction record for SrNdSe2F. The X-ray diffraction stick pattern is theoretical, not measured: it uses DFT lattice parameters and positions (GGA-PBE) and CuKα.

Structure:
Cell lengths 4.1966, 4.1966, 14.8791 Å; angles 90.00, 90.00, 90.00 degrees
Positions (direct):
Sr  0.2500  0.2500  0.0943
Sr  0.7500  0.7500  0.9057
Nd  0.2500  0.2500  0.6262
Nd  0.7500  0.7500  0.3738
Se  0.2500  0.2500  0.4080
Se  0.2500  0.2500  0.8085
Se  0.7500  0.7500  0.1915
Se  0.7500  0.7500  0.5920
F  0.2500  0.7500  0.0000
F  0.7500  0.2500  0.0000

The 10 most intense peaks (10 to 90 degrees two-theta), most intense first:
- 30.11°, I 100
- 43.10°, I 51
- 38.82°, I 48
- 23.92°, I 31
- 42.33°, I 24
- 24.35°, I 21
- 22.01°, I 20
- 37.03°, I 19
- 71.02°, I 19
- 49.90°, I 17